Entry 1:
GaPPt5: calculated X-ray powder pattern (Cu Kα, 1.54184 Å), based on DFT lattice parameters and positions (GGA-PBE).

Main lines, low angle first (2θ from 10° to 80°):
index, 2θ (°), d/Å, I (rel.)
0 0 2, 25.68, 3.470, 13
1 1 0, 32.02, 2.795, 24
1 1 1, 34.59, 2.593, 32
0 0 3, 38.94, 2.313, 19
1 1 2, 41.48, 2.177, 100
2 0 0, 45.91, 1.977, 46
0 0 4, 52.77, 1.735, 6
2 0 2, 53.34, 1.717, 7
2 0 3, 61.73, 1.503, 20
2 2 0, 66.95, 1.398, 15
2 0 4, 72.49, 1.304, 10
1 1 5, 76.66, 1.243, 17

Structure:
Unit cell a=3.953 b=3.953 c=6.939 alpha=90.00 beta=90.00 gamma=90.00
Space group P4/mmm (No. 123)
Symmetry-distinct sites (fractional):
1 Ga 0.000 0.000 0.000
2 P 0.500 0.500 0.500
3 Pt 0.000 0.500 0.291
4 Pt 0.500 0.500 0.000


Entry 2:
CsAg3Te2: calculated X-ray powder pattern (Cu Kα, 1.54184 Å), based on DFT lattice parameters and positions (GGA-PBE).

Main lines, low angle first (2θ from 10° to 80°):
index, 2θ (°), d/Å, I (rel.)
4 0 -2, 23.21, 3.832, 36
1 1 -2, 26.59, 3.352, 59
3 1 1, 29.08, 3.071, 100
5 1 -2, 33.08, 2.708, 65
3 1 2, 35.78, 2.510, 70
5 1 -3, 37.47, 2.400, 45
0 2 0, 38.38, 2.345, 73
7 1 -2, 40.74, 2.215, 32
8 0 -1, 40.98, 2.203, 47
3 1 3, 44.01, 2.058, 71
7 1 1, 47.47, 1.915, 33
8 2 -1, 57.39, 1.606, 35

Structure:
Unit cell a=17.828 b=4.691 c=9.641 alpha=90.00 beta=111.96 gamma=90.00
Space group C2/m (No. 12)
Symmetry-distinct sites (fractional):
1 Cs 0.137 0.000 0.049
2 Ag 0.062 0.000 0.410
3 Ag 0.089 0.500 0.624
4 Ag 0.188 0.500 0.444
5 Te 0.021 0.500 0.233
6 Te 0.197 0.000 0.687


Entry 3:
Ta2PdS6: calculated X-ray powder pattern (Cu Kα, 1.54184 Å), based on DFT lattice parameters and positions (GGA-PBE).

Main lines, low angle first (2θ from 10° to 80°):
index, 2θ (°), d/Å, I (rel.)
2 0 -1, 13.15, 6.735, 100
0 0 2, 19.51, 4.550, 8
4 0 -3, 29.48, 3.030, 8
1 1 1, 31.20, 2.867, 22
1 1 -2, 32.07, 2.791, 13
3 1 0, 35.81, 2.507, 22
4 0 1, 37.08, 2.425, 9
1 1 -3, 38.07, 2.364, 8
3 1 -4, 43.80, 2.067, 11
5 1 -3, 44.22, 2.048, 9
5 1 -1, 44.43, 2.039, 11
5 1 -5, 52.82, 1.733, 9

Structure:
Unit cell a=13.597 b=3.291 c=10.656 alpha=90.00 beta=121.35 gamma=90.00
Space group C2/m (No. 12)
Symmetry-distinct sites (fractional):
1 Ta 0.181 0.000 0.295
2 Pd 0.000 0.500 0.000
3 S 0.024 0.500 0.236
4 S 0.172 0.000 0.535
5 S 0.203 0.500 0.135


Entry 4:
Ca3Sn2S7: calculated X-ray powder pattern (Cu Kα, 1.54184 Å), based on DFT lattice parameters and positions (GGA-PBE).

Main lines, low angle first (2θ from 10° to 80°):
index, 2θ (°), d/Å, I (rel.)
0 0 4, 15.09, 5.870, 78
0 1 1, 17.99, 4.930, 44
1 0 1, 18.26, 4.859, 41
1 1 0, 25.17, 3.538, 100
0 1 5, 25.93, 3.436, 40
1 0 5, 26.12, 3.412, 41
0 2 0, 35.61, 2.521, 65
2 0 0, 36.17, 2.483, 61
0 1 9, 38.87, 2.317, 51
1 0 9, 39.00, 2.310, 42
2 2 0, 51.67, 1.769, 42
2 1 9, 54.14, 1.694, 39

Structure:
Unit cell a=4.966 b=5.042 c=23.479 alpha=90.00 beta=90.00 gamma=90.00
Space group Pmmm (No. 47)
Symmetry-distinct sites (fractional):
1 Ca 0.000 0.000 0.000
2 Ca 0.000 0.000 0.170
3 Ca 0.500 0.500 0.327
4 Ca 0.500 0.500 0.500
5 Sn 0.000 0.000 0.387
6 Sn 0.500 0.500 0.111
7 S 0.000 0.000 0.284
8 S 0.000 0.000 0.500
9 S 0.000 0.500 0.088
10 S 0.000 0.500 0.402
11 S 0.500 0.000 0.089
12 S 0.500 0.000 0.411
13 S 0.500 0.500 0.000
14 S 0.500 0.500 0.213


Entry 5:
K6Bi6O19: calculated X-ray powder pattern (Cu Kα, 1.54184 Å), based on DFT lattice parameters and positions (GGA-PBE).

Main lines, low angle first (2θ from 10° to 80°):
index, 2θ (°), d/Å, I (rel.)
0 0 1, 12.06, 7.340, 22
1 1 0, 12.23, 7.240, 73
2 0 0, 17.32, 5.119, 60
2 0 -3, 27.33, 3.264, 28
1 3 -1, 27.55, 3.238, 100
4 0 -3, 27.79, 3.210, 22
1 1 -3, 32.33, 2.769, 22
2 2 1, 32.56, 2.750, 43
4 2 -1, 32.89, 2.723, 38
2 4 1, 44.98, 2.015, 25
5 3 -4, 45.34, 2.000, 22
0 6 0, 53.72, 1.706, 24

Structure:
Unit cell a=14.281 b=10.240 c=10.239 alpha=90.00 beta=134.20 gamma=90.00
Space group C2 (No. 5)
Symmetry-distinct sites (fractional):
1 K 0.131 0.000 0.264
2 K 0.165 0.325 0.335
3 K 0.192 0.338 0.005
4 Bi 0.000 0.498 0.500
5 Bi 0.000 0.816 0.500
6 Bi 0.003 0.656 0.842
7 Bi 0.159 0.157 0.661
8 O 0.000 0.200 0.000
9 O 0.000 0.515 0.000
10 O 0.000 0.794 0.000
11 O 0.001 0.492 0.289
12 O 0.004 0.162 0.365
13 O 0.005 0.821 0.719
14 O 0.139 0.658 0.633
15 O 0.163 0.945 0.654
16 O 0.166 0.370 0.663
17 O 0.210 0.655 0.376
18 O 0.214 0.645 0.051


Entry 6:
Cd2AgAu: calculated X-ray powder pattern (Cu Kα, 1.54184 Å), based on DFT lattice parameters and positions (GGA-PBE).

Main lines, low angle first (2θ from 10° to 80°):
index, 2θ (°), d/Å, I (rel.)
1 1 1, 22.68, 3.920, 6
2 0 0, 26.25, 3.395, 3
2 2 0, 37.46, 2.401, 100
3 1 1, 44.24, 2.047, 3
2 2 2, 46.32, 1.960, 1
4 0 0, 54.02, 1.698, 17
3 3 1, 59.32, 1.558, 2
4 2 0, 61.03, 1.518, 1
4 2 2, 67.59, 1.386, 34
5 1 1, 72.30, 1.307, 1
4 4 0, 79.92, 1.200, 11

Structure:
Unit cell a=6.790 b=6.790 c=6.790 alpha=90.00 beta=90.00 gamma=90.00
Space group Fm-3m (No. 225)
Symmetry-distinct sites (fractional):
1 Cd 0.250 0.250 0.250
2 Ag 0.000 0.000 0.000
3 Au 0.000 0.000 0.500


Number 6 is which compound?
Cd2AgAu